This entry pairs a crystal structure of TbPm6In with its theoretical X-ray diffraction stick pattern. Radiation: Cu Kα (λ = 1.5418 Å). Structure: the GGA-PBE geometry in Alexandria.
Kinematic intensities with the Lorentz-polarization factor, no thermal factor.

The 10 most intense peaks (10° ≤ 2θ ≤ 80°), in order of rising 2θ:
(1 1 2), 2θ 30.7, rel. 100; (0 0 4), 2θ 34.9, rel. 18; (2 0 0), 2θ 35.9, rel. 33; (2 0 4), 2θ 51.0, rel. 24; (2 2 0), 2θ 51.7, rel. 12; (1 1 6), 2θ 60.0, rel. 14; (3 1 2), 2θ 61.4, rel. 28; (2 2 4), 2θ 63.9, rel. 12; (0 0 8), 2θ 73.7, rel. 2; (4 0 0), 2θ 76.2, rel. 4

Crystal structure
```
TbPm6In
1.0
4.998 0.000 0.000
0.000 4.998 0.000
0.000 0.000 10.284
Tb Pm In
1 6 1
direct
0.000 0.000 0.000 Tb
0.000 0.500 0.257 Pm
0.000 0.500 0.743 Pm
0.500 0.000 0.257 Pm
0.500 0.000 0.743 Pm
0.500 0.500 0.000 Pm
0.500 0.500 0.500 Pm
0.000 0.000 0.500 In
```